For PrTm4Mg2, a cell relaxed with GGA-PBE gives the simulated X-ray diffraction stick pattern in this record (CuKα).
No peak broadening, texture or thermal motion is included.

Main lines, sorted by position (10 to 90 degrees two-theta):
- 8.649 Å, 2θ 10.23, intensity 46.0, (0 4 0)
- 3.123 Å, 2θ 28.58, intensity 17.2, (1 5 0)
- 2.964 Å, 2θ 30.15, intensity 80.2, (0 6 1)
- 2.856 Å, 2θ 31.32, intensity 100.0, (1 7 0)
- 2.700 Å, 2θ 33.19, intensity 37.2, (0 8 1)
- 2.471 Å, 2θ 36.36, intensity 30.2, (0 14 0)
- 2.453 Å, 2θ 36.64, intensity 77.7, (1 1 1)
- 1.806 Å, 2θ 50.54, intensity 43.5, (1 13 1)
- 1.507 Å, 2θ 61.54, intensity 21.3, (2 6 1)
- 1.478 Å, 2θ 62.86, intensity 27.3, (1 7 2)

Cell and atoms:
Unit cell a=3.4998 b=34.5961 c=3.4557 alpha=90.00 beta=90.00 gamma=90.00
Space group Cmmm (No. 65)
One atom of each set of equivalent atoms:
Pr1 0.0000 0.0000 0.0000 x2
Tm1 0.0000 0.1472 0.0000 x4
Tm2 0.0000 0.4234 0.5000 x4
Mg1 0.0000 0.2870 0.5000 x4

***

For PrTm3Mg3, a cell relaxed with GGA-PBE gives the simulated X-ray diffraction stick pattern in this record (CuKα).
No peak broadening, texture or thermal motion is included.

Main lines, sorted by position (10 to 90 degrees two-theta):
- 7.901 Å, 2θ 11.20, intensity 30.9, (1 0 0)
- 4.515 Å, 2θ 19.66, intensity 15.6, (1 1 0)
- 3.512 Å, 2θ 25.36, intensity 23.5, (2 1 -1)
- 2.986 Å, 2θ 29.92, intensity 29.8, (3 0 -2)
- 2.751 Å, 2θ 32.55, intensity 24.9, (0 2 0)
- 2.625 Å, 2θ 34.16, intensity 100.0, (2 1 1)
- 2.023 Å, 2θ 44.79, intensity 19.8, (3 2 -2)
- 1.724 Å, 2θ 53.12, intensity 19.1, (5 0 -1)
- 1.563 Å, 2θ 59.12, intensity 20.7, (2 3 1)
- 1.461 Å, 2θ 63.70, intensity 21.2, (5 2 -1)

Cell and atoms:
Unit cell a=9.1180 b=5.5015 c=9.1249 alpha=90.00 beta=119.95 gamma=90.00
Space group P2_1/m (No. 11)
One atom of each set of equivalent atoms:
Pr1 0.1673 0.2500 0.3332 x2
Tm1 0.2638 0.7500 0.7998 x2
Tm2 0.2999 0.2500 0.0354 x2
Tm3 0.4644 0.2500 0.7640 x2
Mg1 0.0268 0.2500 0.6173 x2
Mg2 0.1174 0.7500 0.0904 x2
Mg3 0.4093 0.7500 0.5272 x2

***

For Pr6TmMg, a cell relaxed with GGA-PBE gives the simulated X-ray diffraction stick pattern in this record (CuKα).
No peak broadening, texture or thermal motion is included.

Main lines, sorted by position (10 to 90 degrees two-theta):
- 3.863 Å, 2θ 23.02, intensity 29.1, (1 -1 1)
- 3.061 Å, 2θ 29.17, intensity 86.2, (2 0 0)
- 2.924 Å, 2θ 30.58, intensity 86.4, (1 -2 0)
- 2.890 Å, 2θ 30.94, intensity 100.0, (0 1 2)
- 2.849 Å, 2θ 31.39, intensity 31.4, (2 0 -1)
- 2.840 Å, 2θ 31.50, intensity 93.5, (1 1 -2)
- 2.807 Å, 2θ 31.88, intensity 86.8, (1 2 0)
- 2.784 Å, 2θ 32.15, intensity 68.2, (1 -1 2)
- 2.175 Å, 2θ 41.53, intensity 28.2, (-2 1 2)
- 1.923 Å, 2θ 47.27, intensity 24.7, (0 3 -2)

Cell and atoms:
Unit cell a=6.1375 b=6.5262 c=6.8715 alpha=96.19 beta=92.70 gamma=92.53
Space group P-1 (No. 2)
One atom of each set of equivalent atoms:
Pr1 0.0200 0.2185 0.3448 x2
Pr2 0.0850 0.7150 0.1535 x2
Pr3 0.4188 0.4793 0.7466 x2
Tm1 0.5000 0.0000 0.0000 x1
Mg1 0.5000 0.0000 0.5000 x1